Record 1
Computed X-ray powder pattern of Ca2Pr3Sm for Cu Kα X-rays, from the PBE geometry in Alexandria.
Neutral-atom scattering factors, no anomalous dispersion.

Atomic structure:
Cell: 7.4672 7.4672 9.2935 Å, 90.00 90.00 120.00°
Atoms (fractional coordinates):
Ca: 0.0000 0.0000 0.0000
Ca: 0.0000 0.5000 0.0000
Ca: 0.5000 0.0000 0.0000
Ca: 0.5000 0.5000 0.0000
Pr: 0.1668 0.3335 0.6553
Pr: 0.1668 0.8332 0.6553
Pr: 0.3335 0.1668 0.3447
Pr: 0.6665 0.8332 0.6553
Pr: 0.8332 0.1668 0.3447
Pr: 0.8332 0.6665 0.3447
Sm: 0.3333 0.6667 0.3448
Sm: 0.6667 0.3333 0.6552

Most intense lines, 2θ from 10° to 80°, in order of rising 2θ:
27.59 deg, I 10.2
28.82 deg, I 31.4
29.24 deg, I 100.0
33.77 deg, I 74.2
40.32 deg, I 9.2
48.23 deg, I 21.9
48.78 deg, I 22.6
57.16 deg, I 16.8
57.65 deg, I 26.2
57.90 deg, I 14.3
60.65 deg, I 13.6
79.02 deg, I 11.5

---

Record 2
Computed X-ray powder pattern of NdTmPu4 for Cu Kα X-rays, from the PBE geometry in Alexandria.
Neutral-atom scattering factors, no anomalous dispersion.

Atomic structure:
Cell: 6.1870 6.1870 6.1870 Å, 60.00 60.00 60.00°
Atoms (fractional coordinates):
Nd: 0.0000 0.0000 0.0000
Tm: 0.7500 0.7500 0.7500
Pu: 0.3752 0.3752 0.3752
Pu: 0.3752 0.3752 0.8745
Pu: 0.3752 0.8745 0.3752
Pu: 0.8745 0.3752 0.3752

Most intense lines, 2θ from 10° to 80°, in order of rising 2θ:
17.56 deg, I 20.5
28.86 deg, I 15.8
33.98 deg, I 100.0
35.54 deg, I 54.6
41.27 deg, I 12.2
45.17 deg, I 6.0
51.14 deg, I 6.5
54.49 deg, I 35.7
59.79 deg, I 33.4
62.83 deg, I 4.7
70.59 deg, I 12.5
71.53 deg, I 22.6

---

Record 3
Computed X-ray powder pattern of Pr3SbO7 for Cu Kα X-rays, from the PBE geometry in Alexandria.
Neutral-atom scattering factors, no anomalous dispersion.

Atomic structure:
Cell: 6.7460 6.7460 7.8158 Å, 90.00 90.00 109.70°
Atoms (fractional coordinates):
Pr: 0.0007 0.0007 0.0000
Pr: 0.0324 0.4992 0.2501
Pr: 0.4992 0.0324 0.7499
Pr: 0.5008 0.9676 0.2499
Pr: 0.9676 0.5008 0.7501
Pr: 0.9993 0.9993 0.5000
Sb: 0.5000 0.5000 0.0000
Sb: 0.5000 0.5000 0.5000
O: 0.1296 0.8704 0.7500
O: 0.1346 0.8654 0.2500
O: 0.1879 0.4315 0.9724
O: 0.1881 0.4320 0.5278
O: 0.4315 0.1879 0.0276
O: 0.4320 0.1881 0.4722
O: 0.4383 0.5617 0.2500
O: 0.5617 0.4383 0.7500
O: 0.5680 0.8119 0.9722
O: 0.5685 0.8121 0.5276
O: 0.8119 0.5680 0.0278
O: 0.8121 0.5685 0.4724
O: 0.8654 0.1346 0.7500
O: 0.8704 0.1296 0.2500

Most intense lines, 2θ from 10° to 80°, in order of rising 2θ:
27.98 deg, I 97.8
28.10 deg, I 100.0
32.49 deg, I 66.2
46.48 deg, I 17.4
46.60 deg, I 58.6
46.78 deg, I 13.8
55.22 deg, I 54.5
55.40 deg, I 26.5
58.09 deg, I 9.8
68.04 deg, I 12.2
75.03 deg, I 9.8
77.43 deg, I 14.8

---

Record 4
Computed X-ray powder pattern of BaNi5P4 for Cu Kα X-rays, from the PBE geometry in Alexandria.
Neutral-atom scattering factors, no anomalous dispersion.

Atomic structure:
Cell: 8.1244 8.1244 4.9986 Å, 90.00 90.00 90.00°
Atoms (fractional coordinates):
Ba: 0.2500 0.7500 0.0000
Ba: 0.7500 0.2500 0.0000
Ni: 0.0064 0.0064 0.2603
Ni: 0.0064 0.4936 0.2603
Ni: 0.2500 0.2500 0.3049
Ni: 0.4936 0.0064 0.2603
Ni: 0.4936 0.4936 0.2603
Ni: 0.5064 0.5064 0.7397
Ni: 0.5064 0.9936 0.7397
Ni: 0.7500 0.7500 0.6951
Ni: 0.9936 0.5064 0.7397
Ni: 0.9936 0.9936 0.7397
P: 0.0157 0.2500 0.5299
P: 0.2500 0.0157 0.5299
P: 0.2500 0.4843 0.5299
P: 0.4843 0.2500 0.5299
P: 0.5157 0.7500 0.4701
P: 0.7500 0.5157 0.4701
P: 0.7500 0.9843 0.4701
P: 0.9843 0.7500 0.4701

Most intense lines, 2θ from 10° to 80°, in order of rising 2θ:
23.59 deg, I 95.3
28.31 deg, I 34.1
31.14 deg, I 96.0
36.06 deg, I 50.5
39.43 deg, I 35.9
42.47 deg, I 82.9
44.61 deg, I 100.0
48.27 deg, I 38.7
50.99 deg, I 36.4
61.00 deg, I 28.2
63.28 deg, I 46.0
64.93 deg, I 30.0

---

Record 5
Computed X-ray powder pattern of K5Na2Hg5 for Cu Kα X-rays, from the PBE geometry in Alexandria.
Neutral-atom scattering factors, no anomalous dispersion.

Atomic structure:
Cell: 15.6241 15.6241 15.6241 Å, 21.47 21.47 21.47°
Atoms (fractional coordinates):
K: 0.0000 0.0000 0.0000
K: 0.1927 0.1927 0.1927
K: 0.2795 0.2795 0.2795
K: 0.7205 0.7205 0.7205
K: 0.8073 0.8073 0.8073
Na: 0.4302 0.4302 0.4302
Na: 0.5698 0.5698 0.5698
Hg: 0.0902 0.0902 0.0902
Hg: 0.3585 0.3585 0.3585
Hg: 0.5000 0.5000 0.5000
Hg: 0.6415 0.6415 0.6415
Hg: 0.9098 0.9098 0.9098

Most intense lines, 2θ from 10° to 80°, in order of rising 2θ:
19.24 deg, I 18.9
20.11 deg, I 26.3
22.27 deg, I 76.7
27.80 deg, I 45.4
30.72 deg, I 100.0
32.64 deg, I 26.5
38.27 deg, I 20.2
42.94 deg, I 21.8
47.26 deg, I 17.5
49.85 deg, I 19.4
52.85 deg, I 15.0
54.62 deg, I 19.5

---

Record 6
Computed X-ray powder pattern of CaCd4Sb for Cu Kα X-rays, from the PBE geometry in Alexandria.
Neutral-atom scattering factors, no anomalous dispersion.

Atomic structure:
Cell: 6.0088 6.0088 6.0088 Å, 60.00 60.00 60.00°
Atoms (fractional coordinates):
Ca: 0.0000 0.0000 0.0000
Cd: 0.1250 0.6250 0.6250
Cd: 0.6250 0.1250 0.6250
Cd: 0.6250 0.6250 0.1250
Cd: 0.6250 0.6250 0.6250
Sb: 0.2500 0.2500 0.2500

Most intense lines, 2θ from 10° to 80°, in order of rising 2θ:
18.08 deg, I 22.4
20.91 deg, I 4.5
29.74 deg, I 17.0
35.02 deg, I 100.0
36.63 deg, I 52.3
42.55 deg, I 10.3
46.59 deg, I 5.9
52.77 deg, I 6.5
56.25 deg, I 32.4
61.75 deg, I 28.6
73.01 deg, I 10.9
73.99 deg, I 18.6